Starting from a cell relaxed with GGA-PBE, the powder diffraction line list of RhSe2Cl7 was simulated for Cu Kα.
No peak broadening, texture or thermal motion is included.

Structure:
Lattice parameters (Å, degrees): 8.2187 14.3446 12.3790 90.00 96.41 90.00
Fractional positions:
Rh  0.0429  0.0929  0.1003
Rh  0.0429  0.4071  0.6003
Rh  0.9571  0.5929  0.3997
Rh  0.9571  0.9071  0.8997
Se  0.2252  0.1386  0.2565
Se  0.2252  0.3614  0.7565
Se  0.2262  0.5710  0.3470
Se  0.2262  0.9290  0.8470
Se  0.7738  0.0710  0.1530
Se  0.7738  0.4290  0.6530
Se  0.7748  0.6386  0.2435
Se  0.7748  0.8614  0.7435
Cl  0.0317  0.2434  0.6190
Cl  0.0317  0.2566  0.1190
Cl  0.0784  0.5735  0.5894
Cl  0.0784  0.9265  0.0894
Cl  0.0935  0.1791  0.3939
Cl  0.0935  0.3209  0.8939
Cl  0.1983  0.0149  0.6999
Cl  0.1983  0.4851  0.1999
Cl  0.3074  0.7005  0.2744
Cl  0.3074  0.7995  0.7744
Cl  0.3100  0.1067  0.0406
Cl  0.3100  0.3933  0.5406
Cl  0.3347  0.0100  0.3318
Cl  0.3347  0.4900  0.8318
Cl  0.6653  0.5100  0.1682
Cl  0.6653  0.9900  0.6682
Cl  0.6900  0.6067  0.4594
Cl  0.6900  0.8933  0.9594
Cl  0.6926  0.2005  0.2256
Cl  0.6926  0.2995  0.7256
Cl  0.8017  0.5149  0.8001
Cl  0.8017  0.9851  0.3001
Cl  0.9065  0.6791  0.1061
Cl  0.9065  0.8209  0.6061
Cl  0.9216  0.0735  0.9106
Cl  0.9216  0.4265  0.4106
Cl  0.9683  0.7434  0.8810
Cl  0.9683  0.7566  0.3810

Peak list (8 most intense, 2θ = 10–90°, sorted by position)
- 2θ 10.83, I = 756
- 2θ 13.79, I = 204
- 2θ 14.29, I = 1000
- 2θ 15.68, I = 156
- 2θ 24.79, I = 215
- 2θ 28.30, I = 141
- 2θ 32.03, I = 137
- 2θ 34.50, I = 146